The following is a computed powder diffraction line list of Cs2ScBr5. It was derived from DFT lattice parameters and positions (GGA-PBE), using Cu Kα.
No peak broadening, texture or thermal motion is included.

Crystal structure
Unit cell a=7.770 b=7.770 c=8.254 alpha=57.92 beta=57.91 gamma=64.17
Sites, in units of the cell vectors:
Cs1 0.000 0.000 0.500
Cs2 0.500 0.500 0.000
Sc1 0.207 0.207 0.793
Br1 0.037 0.479 0.521
Br2 0.040 0.480 0.960
Br3 0.479 0.037 0.963
Br4 0.480 0.040 0.520
Br5 0.965 0.965 0.035

Top 10 peaks for 2θ from 10° to 90°, in order of rising 2θ:
2θ (°)  I (rel.)
13.77  23
23.09  24
27.74  100
30.63  48
34.99  16
43.87  15
47.18  23
52.71  25
57.31  11
58.43  11